The following is a theoretical X-ray diffraction stick pattern of Co3Ni4Pt12. It was derived from the GGA-PBE geometry in Alexandria, using λ = 1.5418 Å (Cu Kα).
No peak broadening, texture or thermal motion is included.

Crystal structure
a b c (Å): 9.1938 9.1938 9.1938
angles (deg): 90.00 90.00 90.00
Space group Im-3 (No. 204)
Inequivalent atoms, fractional coordinates:
1 Co 0.0000 0.0000 0.5000 (multiplicity 6)
2 Ni 0.2500 0.2500 0.2500 (multiplicity 8)
3 Pt 0.0000 0.2693 0.3546 (multiplicity 24)

Principal peaks in the range 10° ≤ 2θ ≤ 80°, by intensity:
- 2θ 13.62, intensity 1000
- 2θ 44.05, intensity 667
- 2θ 36.57, intensity 490
- 2θ 23.71, intensity 386
- 2θ 41.68, intensity 321
- 2θ 48.51, intensity 317
- 2θ 50.63, intensity 317
- 2θ 77.73, intensity 189
- 2θ 72.73, intensity 179
- 2θ 39.19, intensity 179


The following is a theoretical X-ray diffraction stick pattern of Co6Ni8Pt. It was derived from the GGA-PBE geometry in Alexandria, using λ = 1.5418 Å (Cu Kα).
No peak broadening, texture or thermal motion is included.

Crystal structure
a b c (Å): 4.3590 4.3590 30.8989
angles (deg): 90.00 90.00 120.00
Space group R-3 (No. 148, hexagonal axes)
Inequivalent atoms, fractional coordinates:
1 Co 0.0000 0.3382 0.4313 (multiplicity 18)
2 Ni 0.0000 0.0000 0.1666 (multiplicity 6)
3 Ni 0.0003 0.3328 0.6335 (multiplicity 18)
4 Pt 0.0000 0.0000 0.5000 (multiplicity 3)

Principal peaks in the range 10° ≤ 2θ ≤ 80°, by intensity:
- 2θ 45.17, intensity 1000
- 2θ 49.54, intensity 818
- 2θ 42.39, intensity 578
- 2θ 43.96, intensity 506
- 2θ 75.56, intensity 279
- 2θ 55.22, intensity 215
- 2θ 78.42, intensity 161
- 2θ 69.73, intensity 154
- 2θ 23.75, intensity 95
- 2θ 24.27, intensity 93


The following is a theoretical X-ray diffraction stick pattern of Co5Ni2Pt. It was derived from the GGA-PBE geometry in Alexandria, using λ = 1.5418 Å (Cu Kα).
No peak broadening, texture or thermal motion is included.

Crystal structure
a b c (Å): 4.1034 10.2233 4.4217
angles (deg): 90.00 90.00 90.00
Space group Pmmn (No. 59, origin choice 2)
Inequivalent atoms, fractional coordinates:
1 Co 0.2500 0.0045 0.1664 (multiplicity 4)
2 Co 0.2500 0.2500 0.1834 (multiplicity 2)
3 Co 0.2500 0.6193 0.6652 (multiplicity 4)
4 Ni 0.2500 0.1209 0.6638 (multiplicity 4)
5 Pt 0.2500 0.7500 0.1651 (multiplicity 2)

Principal peaks in the range 10° ≤ 2θ ≤ 80°, by intensity:
- 2θ 46.65, intensity 1000
- 2θ 44.14, intensity 265
- 2θ 40.79, intensity 249
- 2θ 74.26, intensity 153
- 2θ 61.66, intensity 138
- 2θ 23.36, intensity 101
- 2θ 21.90, intensity 95
- 2θ 17.35, intensity 88
- 2θ 34.60, intensity 86
- 2θ 34.20, intensity 55